Record 1
The following is a theoretical powder diffraction line list of CaAl4Ru. It was derived from a GGA-PBE-relaxed structure, using Cu Kα.
Intensities are scaled so that the largest is 100.

Structural model:
a b c (Å): 4.0421 6.8865 8.3195
angles (deg): 90.00 103.86 90.00
Space group P2_1/m (No. 11)
Symmetry-distinct sites (fractional):
Ca: 0.1190 0.2500 0.2374 x2
Al: 0.0748 0.7500 0.1498 x2
Al: 0.3164 0.0542 0.6322 x4
Al: 0.5000 0.0000 0.0000 x2
Ru: 0.2272 0.7500 0.4554 x2

Peak list (10 most intense, 10 to 80 degrees two-theta, in order of rising 2θ)
| (hkl) | d/Å | 2θ (°) | intensity |
| --- | --- | --- | --- |
| 0 0 1 | 8.077 | 11.0 | 100 |
| 1 1 -1 | 3.408 | 26.2 | 32 |
| 1 1 -2 | 2.926 | 30.5 | 41 |
| 1 2 0 | 2.587 | 34.7 | 41 |
| 0 1 3 | 2.508 | 35.8 | 28 |
| 1 1 2 | 2.373 | 37.9 | 21 |
| 1 1 -3 | 2.366 | 38.0 | 21 |
| 0 2 3 | 2.121 | 42.6 | 24 |
| 2 0 -1 | 2.021 | 44.8 | 25 |
| 1 3 -1 | 1.981 | 45.8 | 24 |

Record 2
The following is a theoretical powder diffraction line list of Sc8CdOs2. It was derived from a GGA-PBE-relaxed structure, using Cu Kα.
Intensities are scaled so that the largest is 100.

Structural model:
a b c (Å): 4.8796 14.6820 6.5258
angles (deg): 90.00 90.00 90.00
Space group Imm2 (No. 44)
Symmetry-distinct sites (fractional):
Sc: 0.0000 0.0000 0.0000 x2
Sc: 0.0000 0.1141 0.5589 x4
Sc: 0.0000 0.2930 0.8780 x4
Sc: 0.0000 0.3316 0.4185 x4
Sc: 0.0000 0.5000 0.7706 x2
Cd: 0.0000 0.5000 0.2015 x2
Os: 0.0000 0.1697 0.1811 x4

Peak list (10 most intense, 10 to 80 degrees two-theta, in order of rising 2θ)
| (hkl) | d/Å | 2θ (°) | intensity |
| --- | --- | --- | --- |
| 0 3 1 | 3.912 | 22.7 | 100 |
| 1 3 0 | 3.455 | 25.8 | 38 |
| 0 5 1 | 2.677 | 33.5 | 17 |
| 0 6 0 | 2.447 | 36.7 | 19 |
| 2 0 0 | 2.440 | 36.8 | 36 |
| 1 3 2 | 2.372 | 37.9 | 79 |
| 1 6 1 | 2.073 | 43.7 | 49 |
| 1 0 3 | 1.987 | 45.7 | 30 |
| 2 6 0 | 1.727 | 53.0 | 14 |
| 3 3 2 | 1.395 | 67.1 | 14 |

Record 3
The following is a theoretical powder diffraction line list of Y2H5Rh2. It was derived from a GGA-PBE-relaxed structure, using Cu Kα.
Intensities are scaled so that the largest is 100.

Structural model:
a b c (Å): 5.0854 14.6813 5.1198
angles (deg): 90.00 90.00 90.00
Space group Imma (No. 74)
Symmetry-distinct sites (fractional):
Y: 0.0000 0.1300 0.9999 x8
H: 0.0000 0.1265 0.4852 x8
H: 0.2500 0.9998 0.2500 x8
H: 0.2500 0.2500 0.7500 x4
Rh: 0.0000 0.0000 0.5000 x4
Rh: 0.0000 0.2500 0.4720 x4

Peak list (10 most intense, 10 to 80 degrees two-theta, in order of rising 2θ)
| (hkl) | d/Å | 2θ (°) | intensity |
| --- | --- | --- | --- |
| 1 4 1 | 2.573 | 34.9 | 100 |
| 0 0 2 | 2.560 | 35.1 | 24 |
| 2 0 0 | 2.543 | 35.3 | 25 |
| 0 8 0 | 1.835 | 49.7 | 9 |
| 2 0 2 | 1.804 | 50.6 | 18 |
| 0 8 2 | 1.491 | 62.2 | 9 |
| 2 8 0 | 1.488 | 62.4 | 9 |
| 1 4 3 | 1.480 | 62.8 | 16 |
| 3 4 1 | 1.474 | 63.1 | 17 |
| 2 8 2 | 1.287 | 73.6 | 11 |

Record 4
The following is a theoretical powder diffraction line list of CeTm2Ni9. It was derived from a GGA-PBE-relaxed structure, using Cu Kα.
Intensities are scaled so that the largest is 100.

Structural model:
a b c (Å): 4.9435 4.9435 24.2905
angles (deg): 90.00 90.00 120.00
Space group R-3m (No. 166, hexagonal axes)
Symmetry-distinct sites (fractional):
Ce: 0.0000 0.0000 0.0000 x3
Tm: 0.0000 0.0000 0.1399 x6
Ni: 0.0000 0.0000 0.3333 x6
Ni: 0.0000 0.0000 0.5000 x3
Ni: 0.0019 0.5009 0.9163 x18

Peak list (10 most intense, 10 to 80 degrees two-theta, in order of rising 2θ)
| (hkl) | d/Å | 2θ (°) | intensity |
| --- | --- | --- | --- |
| 1 0 7 | 2.696 | 33.2 | 47 |
| 1 1 0 | 2.474 | 36.3 | 84 |
| 0 2 1 | 2.132 | 42.4 | 35 |
| 1 1 6 | 2.110 | 42.9 | 100 |
| 0 2 4 | 2.019 | 44.9 | 13 |
| 2 0 5 | 1.961 | 46.3 | 31 |
| 2 1 7 | 1.467 | 63.4 | 14 |
| 3 0 0 | 1.428 | 65.4 | 21 |
| 3 0 6 | 1.346 | 69.9 | 21 |
| 2 2 0 | 1.236 | 77.2 | 20 |

Record 5
The following is a theoretical powder diffraction line list of SeSBr2. It was derived from a GGA-PBE-relaxed structure, using Cu Kα.
Intensities are scaled so that the largest is 100.

Structural model:
a b c (Å): 5.2115 6.9197 9.5221
angles (deg): 90.00 90.00 90.00
Space group Pmn2_1 (No. 31)
Symmetry-distinct sites (fractional):
Se: 0.0000 0.1914 0.0000 x2
S: 0.0000 0.4881 0.0421 x2
Br: 0.0000 0.6592 0.8385 x2
Br: 0.0000 0.9109 0.5365 x2

Peak list (10 most intense, 10 to 80 degrees two-theta, in order of rising 2θ)
| (hkl) | d/Å | 2θ (°) | intensity |
| --- | --- | --- | --- |
| 0 1 1 | 5.598 | 15.8 | 100 |
| 0 0 2 | 4.761 | 18.6 | 65 |
| 1 0 1 | 4.572 | 19.4 | 65 |
| 0 1 2 | 3.922 | 22.7 | 34 |
| 1 1 1 | 3.814 | 23.3 | 64 |
| 0 2 1 | 3.252 | 27.4 | 63 |
| 0 1 3 | 2.885 | 31.0 | 58 |
| 2 0 0 | 2.606 | 34.4 | 47 |
| 2 1 3 | 1.934 | 47.0 | 33 |
| 2 0 4 | 1.757 | 52.1 | 33 |

Record 6
The following is a theoretical powder diffraction line list of TmMg2In2. It was derived from a GGA-PBE-relaxed structure, using Cu Kα.
Intensities are scaled so that the largest is 100.

Structural model:
a b c (Å): 13.5348 4.4156 4.4167
angles (deg): 90.00 108.88 90.00
Space group C2/m (No. 12)
Symmetry-distinct sites (fractional):
Tm: 0.0000 0.0000 0.0000 x2
Mg: 0.2500 0.0000 0.7504 x4
In: 0.1063 0.5000 0.6065 x4

Peak list (10 most intense, 10 to 80 degrees two-theta, in order of rising 2θ)
| (hkl) | d/Å | 2θ (°) | intensity |
| --- | --- | --- | --- |
| 2 0 0 | 6.403 | 13.8 | 57 |
| 1 1 -1 | 3.123 | 28.6 | 91 |
| 3 1 0 | 3.069 | 29.1 | 100 |
| 3 1 -1 | 2.807 | 31.9 | 84 |
| 5 1 0 | 2.217 | 40.7 | 67 |
| 0 2 0 | 2.209 | 40.8 | 80 |
| 1 1 2 | 1.793 | 50.9 | 32 |
| 4 2 1 | 1.565 | 59.0 | 30 |
| 2 2 -2 | 1.562 | 59.1 | 49 |
| 5 1 -3 | 1.364 | 68.8 | 18 |

Record 7
The following is a theoretical powder diffraction line list of Pm2YHo2Mg5. It was derived from a GGA-PBE-relaxed structure, using Cu Kα.
Intensities are scaled so that the largest is 100.

Structural model:
a b c (Å): 10.6156 10.6156 5.0711
angles (deg): 90.00 90.00 90.00
Space group P4/mbm (No. 127)
Symmetry-distinct sites (fractional):
Pm: 0.1771 0.3229 0.0000 x4
Y: 0.0000 0.0000 0.0000 x2
Ho: 0.1197 0.6197 0.0000 x4
Mg: 0.0000 0.5000 0.5000 x2
Mg: 0.0693 0.8018 0.5000 x8

Peak list (10 most intense, 10 to 80 degrees two-theta, in order of rising 2θ)
| (hkl) | d/Å | 2θ (°) | intensity |
| --- | --- | --- | --- |
| 1 1 0 | 7.506 | 11.8 | 25 |
| 0 0 1 | 5.071 | 17.5 | 99 |
| 3 1 0 | 3.357 | 26.6 | 42 |
| 3 1 1 | 2.799 | 32.0 | 100 |
| 4 1 0 | 2.575 | 34.8 | 27 |
| 3 2 1 | 2.546 | 35.2 | 51 |
| 0 0 2 | 2.536 | 35.4 | 36 |
| 4 0 1 | 2.351 | 38.3 | 19 |
| 3 1 2 | 2.023 | 44.8 | 20 |
| 7 2 1 | 1.401 | 66.8 | 21 |

Record 8
The following is a theoretical powder diffraction line list of ZrBiP. It was derived from a GGA-PBE-relaxed structure, using Cu Kα.
Intensities are scaled so that the largest is 100.

Structural model:
a b c (Å): 3.5629 12.8518 6.0521
angles (deg): 90.00 90.00 90.00
Space group Cmc2_1 (No. 36)
Symmetry-distinct sites (fractional):
Zr: 0.0000 0.0688 0.0000 x4
Bi: 0.0000 0.3021 0.8330 x4
P: 0.0000 0.4386 0.1770 x4

Peak list (10 most intense, 10 to 80 degrees two-theta, in order of rising 2θ)
| (hkl) | d/Å | 2θ (°) | intensity |
| --- | --- | --- | --- |
| 0 2 0 | 6.426 | 13.8 | 18 |
| 0 2 1 | 4.406 | 20.2 | 22 |
| 1 1 1 | 2.986 | 29.9 | 100 |
| 0 4 1 | 2.838 | 31.5 | 69 |
| 0 2 2 | 2.738 | 32.7 | 67 |
| 1 3 1 | 2.496 | 36.0 | 24 |
| 1 1 2 | 2.270 | 39.7 | 20 |
| 1 5 0 | 2.085 | 43.4 | 25 |
| 1 3 2 | 2.031 | 44.6 | 21 |
| 2 4 1 | 1.509 | 61.5 | 21 |

Record 9
The following is a theoretical powder diffraction line list of Y2Er2TmSc. It was derived from a GGA-PBE-relaxed structure, using Cu Kα.
Intensities are scaled so that the largest is 100.

Structural model:
a b c (Å): 6.4266 17.3060 3.3121
angles (deg): 90.00 90.00 90.00
Space group Pnnm (No. 58)
Symmetry-distinct sites (fractional):
Y: 0.2444 0.1824 0.0000 x4
Er: 0.2429 0.3555 0.5000 x4
Tm: 0.0000 0.5000 0.0000 x2
Sc: 0.0000 0.0000 0.0000 x2

Peak list (10 most intense, 10 to 80 degrees two-theta, in order of rising 2θ)
| (hkl) | d/Å | 2θ (°) | intensity |
| --- | --- | --- | --- |
| 1 1 0 | 6.025 | 14.7 | 26 |
| 1 2 0 | 5.159 | 17.2 | 38 |
| 2 2 0 | 3.012 | 29.7 | 54 |
| 0 6 0 | 2.884 | 31.0 | 48 |
| 0 3 1 | 2.872 | 31.1 | 100 |
| 1 6 0 | 2.631 | 34.1 | 26 |
| 2 4 0 | 2.580 | 34.8 | 58 |
| 2 1 1 | 2.286 | 39.4 | 47 |
| 2 3 1 | 2.141 | 42.2 | 30 |
| 4 3 1 | 1.403 | 66.7 | 32 |

Record 10
The following is a theoretical powder diffraction line list of RbLaNbN3. It was derived from a GGA-PBE-relaxed structure, using Cu Kα.
Intensities are scaled so that the largest is 100.

Structural model:
a b c (Å): 14.2046 4.0964 8.3428
angles (deg): 90.00 105.06 90.00
Space group C2/m (No. 12)
Symmetry-distinct sites (fractional):
Rb: 0.1472 0.0000 0.0657 x4
La: 0.1592 0.0000 0.5834 x4
Nb: 0.0073 0.5000 0.3088 x4
N: 0.0108 0.0000 0.3303 x4
N: 0.1358 0.5000 0.7712 x4
N: 0.1596 0.5000 0.3808 x4

Peak list (10 most intense, 10 to 80 degrees two-theta, in order of rising 2θ)
| (hkl) | d/Å | 2θ (°) | intensity |
| --- | --- | --- | --- |
| 0 0 1 | 8.056 | 11.0 | 47 |
| 2 0 2 | 3.136 | 28.5 | 44 |
| 3 1 0 | 3.051 | 29.3 | 85 |
| 4 0 -2 | 3.029 | 29.5 | 50 |
| 1 1 -2 | 2.922 | 30.6 | 100 |
| 6 0 0 | 2.286 | 39.4 | 26 |
| 0 2 0 | 2.048 | 44.2 | 23 |
| 7 1 -2 | 1.779 | 51.3 | 20 |
| 2 2 2 | 1.715 | 53.4 | 17 |
| 4 2 -2 | 1.697 | 54.1 | 17 |

Record 11
The following is a theoretical powder diffraction line list of Na2SbRh2S6. It was derived from a GGA-PBE-relaxed structure, using Cu Kα.
Intensities are scaled so that the largest is 100.

Structural model:
a b c (Å): 6.2658 11.0403 6.9806
angles (deg): 90.00 107.09 90.00
Space group C2/m (No. 12)
Symmetry-distinct sites (fractional):
Na: 0.0000 0.1601 0.0000 x4
Sb: 0.0000 0.0000 0.5000 x2
Rh: 0.0000 0.3328 0.5000 x4
S: 0.2048 0.5000 0.6998 x4
S: 0.2415 0.1812 0.6961 x8

Peak list (10 most intense, 10 to 80 degrees two-theta, in order of rising 2θ)
| (hkl) | d/Å | 2θ (°) | intensity |
| --- | --- | --- | --- |
| 0 0 1 | 6.672 | 13.3 | 100 |
| 1 3 0 | 3.135 | 28.5 | 17 |
| 2 0 -1 | 3.093 | 28.9 | 9 |
| 1 3 -1 | 3.022 | 29.6 | 8 |
| 1 3 1 | 2.683 | 33.4 | 52 |
| 2 0 -2 | 2.649 | 33.8 | 26 |
| 1 3 2 | 2.127 | 42.5 | 15 |
| 1 3 -3 | 1.962 | 46.3 | 25 |
| 3 3 -1 | 1.816 | 50.2 | 16 |
| 2 0 3 | 1.577 | 58.5 | 10 |

Record 12
The following is a theoretical powder diffraction line list of Na2PaI7. It was derived from a GGA-PBE-relaxed structure, using Cu Kα.
Intensities are scaled so that the largest is 100.

Structural model:
a b c (Å): 21.5058 9.5285 14.4047
angles (deg): 90.00 131.65 90.00
Space group C2/c (No. 15)
Symmetry-distinct sites (fractional):
Na: 0.0252 0.2359 0.0667 x8
Pa: 0.0000 0.1889 0.7500 x4
I: 0.0000 0.1456 0.2500 x4
I: 0.0498 0.4456 0.6818 x8
I: 0.1074 0.0792 0.6900 x8
I: 0.1541 0.1860 0.0123 x8

Peak list (10 most intense, 10 to 80 degrees two-theta, in order of rising 2θ)
| (hkl) | d/Å | 2θ (°) | intensity |
| --- | --- | --- | --- |
| 1 1 0 | 8.196 | 10.8 | 18 |
| 2 0 0 | 8.035 | 11.0 | 100 |
| 1 1 -1 | 7.947 | 11.1 | 95 |
| 0 0 2 | 5.382 | 16.5 | 22 |
| 4 2 -2 | 3.556 | 25.0 | 26 |
| 2 0 2 | 3.519 | 25.3 | 38 |
| 1 3 0 | 3.116 | 28.6 | 23 |
| 3 3 -2 | 2.857 | 31.3 | 28 |
| 7 1 -4 | 2.843 | 31.5 | 23 |
| 4 0 2 | 2.515 | 35.7 | 19 |

Record 13
The following is a theoretical powder diffraction line list of Rb2TiOsCl6. It was derived from a GGA-PBE-relaxed structure, using Cu Kα.
Intensities are scaled so that the largest is 100.

Structural model:
a b c (Å): 7.2965 7.2965 9.0939
angles (deg): 90.00 90.00 90.00
Space group I4/mmm (No. 139)
Symmetry-distinct sites (fractional):
Rb: 0.0000 0.5000 0.2500 x4
Ti: 0.0000 0.0000 0.0000 x2
Os: 0.0000 0.0000 0.5000 x2
Cl: 0.0000 0.0000 0.2492 x4
Cl: 0.2444 0.2444 0.5000 x8

Peak list (10 most intense, 10 to 80 degrees two-theta, in order of rising 2θ)
| (hkl) | d/Å | 2θ (°) | intensity |
| --- | --- | --- | --- |
| 1 0 1 | 5.691 | 15.6 | 59 |
| 2 0 0 | 3.648 | 24.4 | 59 |
| 1 1 2 | 3.411 | 26.1 | 100 |
| 2 1 1 | 3.071 | 29.1 | 24 |
| 2 2 0 | 2.580 | 34.8 | 82 |
| 0 0 4 | 2.273 | 39.6 | 28 |
| 3 1 2 | 2.058 | 44.0 | 50 |
| 4 0 0 | 1.824 | 50.0 | 27 |
| 2 2 4 | 1.706 | 53.7 | 44 |
| 4 0 4 | 1.423 | 65.6 | 23 |